Record 1
Structure and simulated PXRD pattern of SbAsNO4F2 (DFT lattice parameters and positions (GGA-PBE); copper Kα).

Cell and atoms:
Unit cell a=7.640 b=8.604 c=11.160 alpha=90.00 beta=93.85 gamma=90.00
Space group P2_1/c (No. 14)
Unique sites:
Sb 0.187 0.155 0.125 (multiplicity 4)
As 0.158 0.066 0.823 (multiplicity 4)
N 0.300 0.554 0.979 (multiplicity 4)
O 0.074 0.540 0.665 (multiplicity 4)
O 0.157 0.234 0.289 (multiplicity 4)
O 0.250 0.060 0.972 (multiplicity 4)
O 0.256 0.553 0.235 (multiplicity 4)
F 0.027 0.200 0.552 (multiplicity 4)
F 0.427 0.209 0.144 (multiplicity 4)

Largest 10 diffraction maxima, low angle first, 2θ = 5–70°:
| hkl | Position (°2θ) | Rel. int. |
| --- | --- | --- |
| 1 0 0 | 11.61 | 61.5 |
| 0 1 1 | 13.00 | 56.4 |
| 1 1 0 | 15.53 | 100.0 |
| 0 1 2 | 18.99 | 27.5 |
| 1 2 -1 | 24.82 | 27.6 |
| 1 2 1 | 25.33 | 16.6 |
| 2 1 0 | 25.56 | 17.7 |
| 0 1 3 | 26.15 | 28.1 |
| 1 1 3 | 29.36 | 19.8 |
| 1 1 -4 | 35.16 | 18.4 |

=====

Record 2
Structure and simulated PXRD pattern of PrSi (DFT lattice parameters and positions (GGA-PBE); copper Kα).

Cell and atoms:
Unit cell a=8.340 b=3.968 c=5.972 alpha=90.00 beta=90.00 gamma=90.00
Space group Pnma (No. 62)
Unique sites:
Pr 0.180 0.250 0.114 (multiplicity 4)
Si 0.035 0.250 0.620 (multiplicity 4)

Largest 10 diffraction maxima, low angle first, 2θ = 5–70°:
| hkl | Position (°2θ) | Rel. int. |
| --- | --- | --- |
| 2 0 1 | 26.06 | 31.0 |
| 0 1 1 | 26.98 | 37.5 |
| 1 1 1 | 29.06 | 100.0 |
| 2 1 0 | 31.11 | 73.1 |
| 1 0 2 | 31.83 | 82.2 |
| 2 1 1 | 34.63 | 43.7 |
| 3 0 1 | 35.62 | 49.6 |
| 1 1 2 | 39.27 | 40.2 |
| 3 1 2 | 50.40 | 33.3 |
| 1 2 2 | 56.81 | 38.5 |

=====

Record 3
Structure and simulated PXRD pattern of CsBa2Br5 (DFT lattice parameters and positions (GGA-PBE); copper Kα).

Cell and atoms:
Unit cell a=10.153 b=8.833 c=14.168 alpha=90.00 beta=90.25 gamma=90.00
Space group P2_1/c (No. 14)
Unique sites:
Cs 0.011 0.057 0.333 (multiplicity 4)
Ba 0.253 0.569 0.493 (multiplicity 4)
Ba 0.500 0.028 0.323 (multiplicity 4)
Br 0.036 0.175 0.078 (multiplicity 4)
Br 0.276 0.690 0.717 (multiplicity 4)
Br 0.288 0.549 0.998 (multiplicity 4)
Br 0.289 0.163 0.813 (multiplicity 4)
Br 0.462 0.163 0.099 (multiplicity 4)

Largest 10 diffraction maxima, low angle first, 2θ = 5–70°:
| hkl | Position (°2θ) | Rel. int. |
| --- | --- | --- |
| 2 1 1 | 21.13 | 29.8 |
| 0 1 3 | 21.33 | 38.5 |
| 0 1 4 | 27.12 | 42.2 |
| 2 2 -1 | 27.50 | 70.9 |
| 2 1 -3 | 27.65 | 42.8 |
| 2 2 -2 | 29.63 | 100.0 |
| 2 0 -4 | 30.71 | 28.9 |
| 2 0 4 | 30.86 | 38.5 |
| 1 3 2 | 34.16 | 32.1 |
| 4 0 0 | 35.36 | 44.5 |

=====

Record 4
Structure and simulated PXRD pattern of MgTi6H4O14 (DFT lattice parameters and positions (GGA-PBE); copper Kα).

Cell and atoms:
Unit cell a=3.890 b=7.719 c=9.372 alpha=76.14 beta=89.38 gamma=87.82
Space group P1 (No. 1)
Unique sites:
Mg 0.000 0.000 0.000 (multiplicity 1)
Ti 0.469 0.371 0.355 (multiplicity 1)
Ti 0.482 0.258 0.066 (multiplicity 1)
Ti 0.496 0.166 0.746 (multiplicity 1)
Ti 0.944 0.655 0.391 (multiplicity 1)
Ti 0.961 0.575 0.084 (multiplicity 1)
Ti 0.974 0.438 0.783 (multiplicity 1)
H 0.325 0.822 0.731 (multiplicity 1)
H 0.708 0.792 0.790 (multiplicity 1)
H 0.716 0.005 0.363 (multiplicity 1)
H 0.740 0.899 0.532 (multiplicity 1)
O 0.447 0.625 0.372 (multiplicity 1)
O 0.464 0.504 0.105 (multiplicity 1)
O 0.476 0.393 0.822 (multiplicity 1)
O 0.485 0.248 0.544 (multiplicity 1)
O 0.496 0.053 0.979 (multiplicity 1)
O 0.498 0.165 0.262 (multiplicity 1)
O 0.541 0.885 0.724 (multiplicity 1)
O 0.846 0.905 0.435 (multiplicity 1)
O 0.957 0.649 0.880 (multiplicity 1)
O 0.959 0.774 0.150 (multiplicity 1)
O 0.961 0.560 0.597 (multiplicity 1)
O 0.965 0.426 0.311 (multiplicity 1)
O 0.981 0.285 0.031 (multiplicity 1)
O 0.995 0.159 0.775 (multiplicity 1)

Largest 10 diffraction maxima, low angle first, 2θ = 5–70°:
| hkl | Position (°2θ) | Rel. int. |
| --- | --- | --- |
| 0 0 1 | 9.72 | 27.9 |
| 0 1 0 | 11.82 | 100.0 |
| 0 1 -1 | 17.04 | 25.9 |
| 1 1 0 | 25.43 | 38.3 |
| 1 -1 0 | 26.21 | 31.2 |
| 0 0 3 | 29.45 | 35.1 |
| 0 3 2 | 36.69 | 39.0 |
| 0 1 -4 | 44.30 | 25.7 |
| 2 0 0 | 46.74 | 29.0 |
| 0 4 2 | 47.91 | 22.9 |

=====

Record 5
Structure and simulated PXRD pattern of BaS4O13 (DFT lattice parameters and positions (GGA-PBE); copper Kα).

Cell and atoms:
Unit cell a=9.529 b=12.061 c=9.820 alpha=90.00 beta=98.59 gamma=90.00
Space group C2/c (No. 15)
Unique sites:
Ba 0.000 0.196 0.250 (multiplicity 4)
S 0.098 0.328 0.881 (multiplicity 8)
S 0.242 0.045 0.578 (multiplicity 8)
O 0.000 0.390 0.750 (multiplicity 4)
O 0.007 0.262 0.953 (multiplicity 8)
O 0.131 0.014 0.132 (multiplicity 8)
O 0.140 0.432 0.968 (multiplicity 8)
O 0.159 0.392 0.325 (multiplicity 8)
O 0.208 0.091 0.441 (multiplicity 8)
O 0.214 0.276 0.829 (multiplicity 8)

Largest 10 diffraction maxima, low angle first, 2θ = 5–70°:
| hkl | Position (°2θ) | Rel. int. |
| --- | --- | --- |
| 1 1 1 | 15.86 | 47.7 |
| 0 2 1 | 17.31 | 87.3 |
| 1 1 2 | 23.04 | 66.9 |
| 0 2 2 | 23.53 | 53.7 |
| 2 2 0 | 23.97 | 100.0 |
| 2 0 -2 | 24.28 | 77.1 |
| 2 2 -1 | 24.64 | 89.0 |
| 0 4 1 | 31.06 | 53.6 |
| 1 1 3 | 31.42 | 61.4 |
| 3 3 -1 | 36.36 | 57.3 |